Computed X-ray powder pattern
Compound: FeNi5O6
Radiation: Cu Kα
Structure: a structure optimized by DFT (PBE+U)
Neutral-atom scattering factors, no anomalous dispersion.

Atomic structure:
a b c (Å): 5.222 5.222 5.191
angles (deg): 99.26 99.26 120.34
Positions (direct):
Fe1 0.000 0.000 0.000
Ni1 0.167 0.833 0.500
Ni2 0.332 0.668 0.000
Ni3 0.500 0.500 0.500
Ni4 0.668 0.332 0.000
Ni5 0.833 0.167 0.500
O1 0.087 0.428 0.255
O2 0.251 0.251 0.749
O3 0.428 0.087 0.255
O4 0.572 0.913 0.745
O5 0.749 0.749 0.251
O6 0.913 0.572 0.745

Principal peaks in the range 2θ = 15–90°, by angle:
d [Å]	Rel. int.
2.457	100
2.135	91
2.112	44
1.510	26
1.502	52
1.286	26
1.276	13
1.228	24